For HgBPdF6, a crystal structure in Alexandria, relaxed with PBE gives the simulated XRD peak list in this record (λ = 1.5418 Å (Cu Kα)).

Most intense lines, 2θ from 15° to 90°, in order of falling intensity:
2theta  I/Imax  index
15.61  100  0 0 1
24.69  73  1 1 1
27.15  26  -1 1 1
31.52  23  0 0 2
24.11  19  1 0 1
26.95  19  1 -1 0
43.10  18  2 -1 0
36.86  17  0 2 2
24.26  17  1 0 -1
33.32  17  1 1 -1
39.63  17  -1 2 1
18.01  15  0 1 0

abc: 4.856 5.459 6.268
angles: 64.93 87.26 84.30
Fractional coordinates of all 9 atoms:
Hg (0.000, 0.000, 0.000)
B (0.455, 0.874, 0.504)
Pd (0.645, 0.401, 0.996)
F (0.257, 0.854, 0.680)
F (0.360, 0.783, 0.344)
F (0.389, 0.224, 0.869)
F (0.522, 0.150, 0.382)
F (0.704, 0.713, 0.614)
F (0.931, 0.568, 0.113)